TlCoI4: computed powder XRD pattern (copper Kα), based on a cell relaxed with GGA-PBE.
Intensities are scaled so that the largest is 100.

Largest 12 diffraction maxima, sorted by position, 2θ = 10–90°:
- 2θ 13.91, d 6.367, rel. 21, hkl 1 1 0
- 2θ 15.74, d 5.628, rel. 76, hkl 1 1 1
- 2θ 20.30, d 4.375, rel. 32, hkl 1 1 2
- 2θ 26.25, d 3.396, rel. 100, hkl 1 1 3
- 2θ 26.42, d 3.373, rel. 90, hkl 1 3 1
- 2θ 28.03, d 3.183, rel. 40, hkl 2 2 0
- 2θ 31.80, d 2.814, rel. 58, hkl 2 2 2
- 2θ 33.34, d 2.687, rel. 23, hkl 0 2 4
- 2θ 33.55, d 2.671, rel. 21, hkl 0 4 2
- 2θ 45.67, d 1.987, rel. 22, hkl 1 3 5
- 2θ 48.52, d 1.876, rel. 26, hkl 3 3 3
- 2θ 50.82, d 1.797, rel. 18, hkl 4 0 2

Atomic structure:
Lattice parameters (Å, degrees): 7.531 11.920 12.042 90.00 90.00 90.00
Space group C222_1 (No. 20)
Unique sites:
Tl: 0.000 0.243 0.250 [4 per cell]
Co: 0.062 0.500 0.500 [4 per cell]
I: 0.133 0.329 0.983 [8 per cell]
I: 0.243 0.021 0.830 [8 per cell]